Diffraction record for UCo4GeH6. The powder X-ray diffraction pattern is simulated, not measured: it uses a structure optimized by DFT (GGA-PBE) and Cu Ka.
Neutral-atom scattering factors, no anomalous dispersion.

Main lines, in order of rising 2θ (10° ≤ 2θ ≤ 90°):
2θ 24.43, d 3.643, intensity 28.4
2θ 28.11, d 3.174, intensity 54.2
2θ 37.17, d 2.419, intensity 100.0
2θ 41.90, d 2.156, intensity 11.3
2θ 43.00, d 2.103, intensity 65.9
2θ 58.12, d 1.587, intensity 26.9
2θ 61.60, d 1.506, intensity 22.1
2θ 62.88, d 1.478, intensity 14.3
2θ 74.96, d 1.267, intensity 25.9
2θ 78.82, d 1.214, intensity 10.8

Atomic structure:
```
12
Lattice="4.2066 0.0000 0.0000 -2.1033 3.6430 0.0000 0.0000 0.0000 6.4685" Properties=species:S:1:pos:R:3 pbc="T T T"
U 0.0000 0.0000 0.0000
Co 0.0000 2.4287 2.0387
Co 0.0000 2.4287 4.4297
Co 2.1033 1.2143 2.0387
Co 2.1033 1.2143 4.4297
Ge 0.0000 0.0000 3.2342
H -1.0516 1.8215 0.9430
H -1.0516 1.8215 5.5255
H 2.1033 0.0000 0.9430
H 2.1033 0.0000 5.5255
H 1.0516 1.8215 0.9430
H 1.0516 1.8215 5.5255
```